[1]
The following is a theoretical powder X-ray diffraction pattern of CdGa8Ag5. It was derived from a GGA-PBE-relaxed structure, using Cu Ka.
Neutral-atom scattering factors, no anomalous dispersion.

Cell and atoms:
Unit cell a=7.1948 b=7.1948 c=7.1948 alpha=103.15 beta=103.15 gamma=123.02
Element x y z (fractional)
Cd: 0.0000 0.0000 0.0000
Ga: 0.1638 0.3913 0.8941
Ga: 0.1674 0.3251 0.5088
Ga: 0.3413 0.8326 0.1577
Ga: 0.4972 0.2696 0.1059
Ga: 0.6087 0.5028 0.7725
Ga: 0.6749 0.1836 0.8423
Ga: 0.7304 0.8362 0.2275
Ga: 0.8164 0.6587 0.4912
Ag: 0.0099 0.4667 0.2452
Ag: 0.2215 0.7646 0.7548
Ag: 0.2354 0.9901 0.4568
Ag: 0.5333 0.7785 0.5432
Ag: 0.7500 0.2500 0.5000

Largest 10 diffraction maxima, low angle first, 10° ≤ 2θ ≤ 90°:
2θ (°), I_rel
25.78, 35
32.75, 100
32.90, 36
38.60, 51
38.72, 77
40.70, 38
41.37, 78
43.77, 60
45.35, 37
45.68, 58



[2]
The following is a theoretical powder X-ray diffraction pattern of CdGa2Ag3. It was derived from a GGA-PBE-relaxed structure, using Cu Ka.
Neutral-atom scattering factors, no anomalous dispersion.

Cell and atoms:
Unit cell a=4.9978 b=8.8104 c=4.9912 alpha=90.00 beta=90.00 gamma=90.00
Element x y z (fractional)
Cd: 0.2500 0.2500 0.1060
Cd: 0.7500 0.7500 0.8940
Ga: 0.2500 0.5846 0.0970
Ga: 0.2500 0.9154 0.0970
Ga: 0.7500 0.0846 0.9030
Ga: 0.7500 0.4154 0.9030
Ag: 0.2500 0.0767 0.6049
Ag: 0.2500 0.4233 0.6049
Ag: 0.2500 0.7500 0.5794
Ag: 0.7500 0.2500 0.4206
Ag: 0.7500 0.5767 0.3951
Ag: 0.7500 0.9233 0.3951

Largest 10 diffraction maxima, low angle first, 10° ≤ 2θ ≤ 90°:
2θ (°), I_rel
35.46, 37
35.94, 57
39.93, 100
40.40, 65
51.38, 24
64.36, 16
67.29, 22
67.61, 13
75.97, 19
77.86, 17



[3]
The following is a theoretical powder X-ray diffraction pattern of CdGa4Ag2. It was derived from a GGA-PBE-relaxed structure, using Cu Ka.
Neutral-atom scattering factors, no anomalous dispersion.

Cell and atoms:
Unit cell a=5.9193 b=5.9193 c=5.6686 alpha=118.43 beta=118.43 gamma=55.86
Element x y z (fractional)
Cd: 0.0000 0.0000 0.0000
Ga: 0.0136 0.5447 0.2784
Ga: 0.4553 0.9864 0.7216
Ga: 0.5447 0.0136 0.2784
Ga: 0.9864 0.4553 0.7216
Ag: 0.4987 0.4987 0.7505
Ag: 0.5013 0.5013 0.2495

Largest 10 diffraction maxima, low angle first, 10° ≤ 2θ ≤ 90°:
2θ (°), I_rel
18.91, 18
30.33, 20
37.05, 71
37.53, 17
37.67, 21
37.81, 21
38.36, 100
40.97, 35
45.78, 26
47.42, 15



[4]
The following is a theoretical powder X-ray diffraction pattern of CdGa5Ag3. It was derived from a GGA-PBE-relaxed structure, using Cu Ka.
Neutral-atom scattering factors, no anomalous dispersion.

Cell and atoms:
Unit cell a=7.1815 b=7.1815 c=9.6778 alpha=110.43 beta=110.43 gamma=64.39
Element x y z (fractional)
Cd: 0.1234 0.1234 0.3075
Cd: 0.8766 0.8766 0.6925
Ga: 0.0198 0.5969 0.4142
Ga: 0.2368 0.2368 0.0828
Ga: 0.3319 0.6681 0.0000
Ga: 0.3977 0.3977 0.6623
Ga: 0.4031 0.9802 0.5858
Ga: 0.5969 0.0198 0.4142
Ga: 0.6023 0.6023 0.3377
Ga: 0.6681 0.3319 0.0000
Ga: 0.7632 0.7632 0.9172
Ga: 0.9802 0.4031 0.5858
Ag: 0.0000 0.0000 0.0000
Ag: 0.0000 0.0000 0.5000
Ag: 0.2703 0.2703 0.8373
Ag: 0.3988 0.3988 0.3576
Ag: 0.6012 0.6012 0.6424
Ag: 0.7297 0.7297 0.1627

Largest 10 diffraction maxima, low angle first, 10° ≤ 2θ ≤ 90°:
2θ (°), I_rel
19.91, 37
23.25, 100
29.57, 28
32.36, 96
36.64, 28
37.17, 39
40.05, 53
41.71, 73
44.74, 26
47.53, 33



[5]
The following is a theoretical powder X-ray diffraction pattern of Cd8GaAg6. It was derived from a GGA-PBE-relaxed structure, using Cu Ka.
Neutral-atom scattering factors, no anomalous dispersion.

Cell and atoms:
Unit cell a=8.0487 b=8.0487 c=5.7529 alpha=90.00 beta=90.00 gamma=120.00
Element x y z (fractional)
Cd: 0.9995 0.3395 0.3659
Cd: 0.0005 0.6605 0.6341
Cd: 0.3333 0.6667 0.9986
Cd: 0.3400 0.0005 0.3659
Cd: 0.3395 0.3400 0.6341
Cd: 0.6600 0.9995 0.6341
Cd: 0.6605 0.6600 0.3659
Cd: 0.6667 0.3333 0.0014
Ga: 0.0000 0.0000 0.0000
Ag: 0.9996 0.3210 0.8601
Ag: 0.0004 0.6790 0.1399
Ag: 0.3214 0.0004 0.8601
Ag: 0.3210 0.3214 0.1399
Ag: 0.6786 0.9996 0.1399
Ag: 0.6790 0.6786 0.8601

Largest 10 diffraction maxima, low angle first, 10° ≤ 2θ ≤ 90°:
2θ (°), I_rel
15.40, 8
22.09, 20
27.04, 17
38.47, 100
38.76, 88
55.75, 32
69.39, 11
69.97, 31
70.16, 14
83.15, 9



[6]
The following is a theoretical powder X-ray diffraction pattern of CdGa3Ag7. It was derived from a GGA-PBE-relaxed structure, using Cu Ka.
Neutral-atom scattering factors, no anomalous dispersion.

Cell and atoms:
Unit cell a=6.5067 b=6.5067 c=5.5994 alpha=106.06 beta=106.06 gamma=95.36
Element x y z (fractional)
Cd: 0.0000 0.0000 0.0000
Ga: 0.2739 0.7261 0.5000
Ga: 0.5000 0.5000 0.0000
Ga: 0.7261 0.2739 0.5000
Ag: 0.0000 0.0000 0.5000
Ag: 0.0879 0.5543 0.8133
Ag: 0.3131 0.3131 0.4574
Ag: 0.4457 0.9121 0.1867
Ag: 0.5543 0.0879 0.8133
Ag: 0.6869 0.6869 0.5426
Ag: 0.9121 0.4457 0.1867

Largest 10 diffraction maxima, low angle first, 10° ≤ 2θ ≤ 90°:
2θ (°), I_rel
29.06, 21
32.98, 69
34.97, 25
37.38, 77
38.68, 100
39.99, 49
42.01, 19
45.51, 39
47.31, 18
50.70, 33



[7]
The following is a theoretical powder X-ray diffraction pattern of CdGa2Ag6. It was derived from a GGA-PBE-relaxed structure, using Cu Ka.
Neutral-atom scattering factors, no anomalous dispersion.

Cell and atoms:
Unit cell a=8.1766 b=8.1766 c=5.1374 alpha=94.87 beta=94.87 gamma=72.99
Element x y z (fractional)
Cd: 0.1099 0.8901 0.7500
Cd: 0.8901 0.1099 0.2500
Ga: 0.2209 0.4506 0.9064
Ga: 0.4506 0.2209 0.4064
Ga: 0.5494 0.7791 0.5936
Ga: 0.7791 0.5494 0.0936
Ag: 0.0171 0.7402 0.1914
Ag: 0.0971 0.3562 0.3410
Ag: 0.2598 0.9829 0.3086
Ag: 0.3206 0.5771 0.4847
Ag: 0.3562 0.0971 0.8410
Ag: 0.4229 0.6794 0.0153
Ag: 0.5771 0.3206 0.9847
Ag: 0.6438 0.9029 0.1590
Ag: 0.6794 0.4229 0.5153
Ag: 0.7402 0.0171 0.6914
Ag: 0.9029 0.6438 0.6590
Ag: 0.9829 0.2598 0.8086

Largest 10 diffraction maxima, low angle first, 10° ≤ 2θ ≤ 90°:
2θ (°), I_rel
36.31, 61
36.97, 57
38.11, 54
38.93, 100
45.15, 34
46.66, 27
60.97, 13
61.24, 13
67.93, 16
69.08, 16



[8]
The following is a theoretical powder X-ray diffraction pattern of CdGa8Ag6. It was derived from a GGA-PBE-relaxed structure, using Cu Ka.
Neutral-atom scattering factors, no anomalous dispersion.

Cell and atoms:
Unit cell a=7.0588 b=7.0588 c=7.0588 alpha=66.29 beta=66.29 gamma=66.29
Element x y z (fractional)
Cd: 0.0000 0.0000 0.0000
Ga: 0.1467 0.4597 0.8127
Ga: 0.1873 0.8533 0.5403
Ga: 0.2278 0.2278 0.2278
Ga: 0.4597 0.8127 0.1467
Ga: 0.5403 0.1873 0.8533
Ga: 0.7722 0.7722 0.7722
Ga: 0.8127 0.1467 0.4597
Ga: 0.8533 0.5403 0.1873
Ag: 0.1578 0.6020 0.3210
Ag: 0.3210 0.1578 0.6020
Ag: 0.3980 0.6790 0.8422
Ag: 0.6020 0.3210 0.1578
Ag: 0.6790 0.8422 0.3980
Ag: 0.8422 0.3980 0.6790

Largest 10 diffraction maxima, low angle first, 10° ≤ 2θ ≤ 90°:
2θ (°), I_rel
16.19, 19
30.32, 20
34.61, 18
35.96, 63
37.23, 55
40.43, 100
41.99, 53
43.87, 19
45.28, 23
66.31, 29



[9]
The following is a theoretical powder X-ray diffraction pattern of Cd5Ga2Ag. It was derived from a GGA-PBE-relaxed structure, using Cu Ka.
Neutral-atom scattering factors, no anomalous dispersion.

Cell and atoms:
Unit cell a=6.1640 b=6.1640 c=6.1640 alpha=102.94 beta=102.94 gamma=123.51
Element x y z (fractional)
Cd: 0.0000 0.0000 0.0000
Cd: 0.0000 0.0000 0.5000
Cd: 0.0000 0.5000 0.0000
Cd: 0.5000 0.0000 0.0000
Cd: 0.5000 0.5000 0.5000
Ga: 0.0000 0.5000 0.5000
Ga: 0.5000 0.0000 0.5000
Ag: 0.5000 0.5000 0.0000

Largest 10 diffraction maxima, low angle first, 10° ≤ 2θ ≤ 90°:
2θ (°), I_rel
32.99, 78
38.77, 100
47.35, 28
62.79, 46
63.82, 5
69.21, 8
73.74, 14
78.83, 12
82.26, 10
83.18, 10



[10]
The following is a theoretical powder X-ray diffraction pattern of CdGa3Ag12. It was derived from a GGA-PBE-relaxed structure, using Cu Ka.
Neutral-atom scattering factors, no anomalous dispersion.

Cell and atoms:
Unit cell a=4.1149 b=4.1149 c=16.7766 alpha=90.00 beta=90.00 gamma=90.00
Element x y z (fractional)
Cd: 0.0000 0.0000 0.0000
Ga: 0.0000 0.0000 0.2517
Ga: 0.0000 0.0000 0.5000
Ga: 0.0000 0.0000 0.7483
Ag: 0.0000 0.5000 0.1292
Ag: 0.0000 0.5000 0.3760
Ag: 0.0000 0.5000 0.6240
Ag: 0.0000 0.5000 0.8708
Ag: 0.5000 0.0000 0.1292
Ag: 0.5000 0.0000 0.3760
Ag: 0.5000 0.0000 0.6240
Ag: 0.5000 0.0000 0.8708
Ag: 0.5000 0.5000 0.0000
Ag: 0.5000 0.5000 0.2531
Ag: 0.5000 0.5000 0.5000
Ag: 0.5000 0.5000 0.7469

Largest 10 diffraction maxima, low angle first, 10° ≤ 2θ ≤ 90°:
2θ (°), I_rel
21.60, 1
30.43, 1
37.62, 100
43.14, 17
44.01, 32
63.33, 20
64.00, 10
75.44, 12
76.68, 23
80.32, 10



[11]
The following is a theoretical powder X-ray diffraction pattern of K2Cd6GaAg. It was derived from a GGA-PBE-relaxed structure, using Cu Ka.
Neutral-atom scattering factors, no anomalous dispersion.

Cell and atoms:
Unit cell a=7.3289 b=7.3765 c=7.3821 alpha=61.15 beta=61.33 gamma=61.29
Element x y z (fractional)
K: 0.1863 0.1855 0.1890
K: 0.8137 0.8145 0.8110
Cd: 0.1620 0.3285 0.6315
Cd: 0.3274 0.6266 0.1611
Cd: 0.3726 0.8393 0.6731
Cd: 0.6274 0.1607 0.3269
Cd: 0.6726 0.3734 0.8389
Cd: 0.8380 0.6715 0.3685
Ga: 0.5000 0.5000 0.5000
Ag: 0.0000 0.0000 0.0000

Largest 10 diffraction maxima, low angle first, 10° ≤ 2θ ≤ 90°:
2θ (°), I_rel
14.88, 100
16.86, 20
28.07, 37
28.22, 18
28.57, 22
34.20, 20
36.91, 50
37.03, 25
37.98, 50
38.06, 24



[12]
The following is a theoretical powder X-ray diffraction pattern of LiCdGaAg2. It was derived from a GGA-PBE-relaxed structure, using Cu Ka.
Neutral-atom scattering factors, no anomalous dispersion.

Cell and atoms:
Unit cell a=6.1920 b=4.3324 c=6.6596 alpha=90.00 beta=94.42 gamma=90.00
Element x y z (fractional)
Li: 0.1355 0.2500 0.0541
Li: 0.8645 0.7500 0.9459
Cd: 0.4320 0.7500 0.1467
Cd: 0.5680 0.2500 0.8533
Ga: 0.2403 0.7500 0.7373
Ga: 0.7597 0.2500 0.2627
Ag: 0.0300 0.7500 0.3430
Ag: 0.3556 0.2500 0.4367
Ag: 0.6444 0.7500 0.5633
Ag: 0.9700 0.2500 0.6570

Largest 10 diffraction maxima, low angle first, 10° ≤ 2θ ≤ 90°:
2θ (°), I_rel
13.33, 34
29.07, 17
37.45, 100
37.93, 96
41.70, 38
42.31, 35
47.24, 24
60.90, 23
64.81, 17
73.30, 13